[1]
Cu5Au: calculated XRD peak list (Cu Kα X-rays), based on the PBE geometry in Alexandria.
Kinematic intensities with the Lorentz-polarization factor, no thermal factor.

The 10 most intense peaks (2θ from 10° to 80°), in order of rising 2θ:
| 2θ/deg | I/Imax |
| --- | --- |
| 20.6 | 9 |
| 22.4 | 18 |
| 30.6 | 25 |
| 39.2 | 28 |
| 42.0 | 26 |
| 44.7 | 100 |
| 48.1 | 5 |
| 58.8 | 17 |
| 71.1 | 15 |
| 78.6 | 18 |

Cell and atoms:
a b c (Å): 4.592 4.592 4.305
angles (deg): 90.00 90.00 120.00
Positions (direct):
1 Cu 0.000 0.651 0.000
2 Cu 0.333 0.667 0.500
3 Cu 0.349 0.349 0.000
4 Cu 0.651 0.000 0.000
5 Cu 0.667 0.333 0.500
6 Au 0.000 0.000 0.500

[2]
Cu4Au: calculated XRD peak list (Cu Kα X-rays), based on the PBE geometry in Alexandria.
Kinematic intensities with the Lorentz-polarization factor, no thermal factor.

The 10 most intense peaks (2θ from 10° to 80°), in order of rising 2θ:
| 2θ/deg | I/Imax |
| --- | --- |
| 15.9 | 28 |
| 20.5 | 19 |
| 23.6 | 16 |
| 41.4 | 100 |
| 41.7 | 53 |
| 41.8 | 49 |
| 47.7 | 69 |
| 49.7 | 28 |
| 71.3 | 22 |
| 71.5 | 18 |

Cell and atoms:
a b c (Å): 4.614 4.614 6.501
angles (deg): 119.58 119.58 34.18
Positions (direct):
1 Cu 0.104 0.104 0.414
2 Cu 0.309 0.309 0.212
3 Cu 0.691 0.691 0.788
4 Cu 0.896 0.896 0.586
5 Au 0.500 0.500 0.000

[3]
CuAu: calculated XRD peak list (Cu Kα X-rays), based on the PBE geometry in Alexandria.
Kinematic intensities with the Lorentz-polarization factor, no thermal factor.

The 10 most intense peaks (2θ from 10° to 80°), in order of rising 2θ:
| 2θ/deg | I/Imax |
| --- | --- |
| 14.2 | 60 |
| 20.1 | 71 |
| 28.6 | 29 |
| 29.8 | 59 |
| 32.0 | 20 |
| 39.3 | 33 |
| 41.8 | 46 |
| 46.8 | 100 |
| 67.6 | 20 |
| 76.5 | 24 |

Cell and atoms:
a b c (Å): 6.656 6.656 6.656
angles (deg): 96.82 96.82 139.68
Positions (direct):
1 Cu 0.096 0.596 0.692
2 Cu 0.404 0.096 0.500
3 Cu 0.596 0.904 0.500
4 Cu 0.904 0.404 0.308
5 Au 0.191 0.309 0.500
6 Au 0.309 0.809 0.119
7 Au 0.691 0.191 0.881
8 Au 0.809 0.691 0.500

[4]
Cu3Au: calculated XRD peak list (Cu Kα X-rays), based on the PBE geometry in Alexandria.
Kinematic intensities with the Lorentz-polarization factor, no thermal factor.

The 10 most intense peaks (2θ from 10° to 80°), in order of rising 2θ:
| 2θ/deg | I/Imax |
| --- | --- |
| 16.1 | 35 |
| 24.6 | 19 |
| 29.5 | 33 |
| 36.7 | 19 |
| 41.2 | 99 |
| 41.4 | 100 |
| 44.7 | 12 |
| 46.9 | 68 |
| 50.4 | 28 |
| 71.3 | 37 |

Cell and atoms:
a b c (Å): 2.731 3.621 5.495
angles (deg): 90.00 90.00 90.00
Positions (direct):
1 Cu 0.000 0.000 0.000
2 Cu 0.500 0.500 0.228
3 Cu 0.500 0.500 0.772
4 Au 0.000 0.000 0.500

[5]
CuAu: calculated XRD peak list (Cu Kα X-rays), based on the PBE geometry in Alexandria.
Kinematic intensities with the Lorentz-polarization factor, no thermal factor.

The 10 most intense peaks (2θ from 10° to 80°), in order of rising 2θ:
| 2θ/deg | I/Imax |
| --- | --- |
| 22.4 | 19 |
| 31.2 | 17 |
| 36.2 | 18 |
| 40.1 | 25 |
| 40.8 | 27 |
| 41.4 | 100 |
| 52.2 | 8 |
| 58.5 | 17 |
| 73.7 | 15 |
| 74.6 | 17 |

Cell and atoms:
a b c (Å): 5.236 5.236 5.236
angles (deg): 146.42 129.99 61.59
Positions (direct):
1 Cu 0.387 0.137 0.250
2 Cu 0.613 0.863 0.750
3 Au 0.137 0.387 0.750
4 Au 0.863 0.613 0.250

[6]
Cu7Au: calculated XRD peak list (Cu Kα X-rays), based on the PBE geometry in Alexandria.
Kinematic intensities with the Lorentz-polarization factor, no thermal factor.

The 10 most intense peaks (2θ from 10° to 80°), in order of rising 2θ:
| 2θ/deg | I/Imax |
| --- | --- |
| 20.7 | 21 |
| 23.9 | 11 |
| 34.1 | 10 |
| 40.2 | 12 |
| 42.1 | 100 |
| 49.0 | 47 |
| 53.8 | 6 |
| 55.3 | 5 |
| 71.9 | 28 |
| 75.7 | 4 |

Cell and atoms:
a b c (Å): 5.255 5.255 5.255
angles (deg): 60.00 60.00 60.00
Positions (direct):
1 Cu 0.000 0.000 0.000
2 Cu 0.000 0.000 0.500
3 Cu 0.000 0.500 0.000
4 Cu 0.000 0.500 0.500
5 Cu 0.500 0.000 0.000
6 Cu 0.500 0.000 0.500
7 Cu 0.500 0.500 0.000
8 Au 0.500 0.500 0.500

[7]
Cu13Au3: calculated XRD peak list (Cu Kα X-rays), based on the PBE geometry in Alexandria.
Kinematic intensities with the Lorentz-polarization factor, no thermal factor.

The 10 most intense peaks (2θ from 10° to 80°), in order of rising 2θ:
| 2θ/deg | I/Imax |
| --- | --- |
| 16.4 | 12 |
| 23.4 | 7 |
| 29.6 | 13 |
| 41.7 | 100 |
| 47.5 | 17 |
| 47.9 | 17 |
| 50.2 | 14 |
| 69.7 | 10 |
| 71.5 | 9 |
| 71.9 | 9 |

Cell and atoms:
a b c (Å): 7.275 5.395 5.395
angles (deg): 89.53 90.00 90.00
Positions (direct):
1 Cu 0.000 0.000 0.000
2 Cu 0.000 0.525 0.525
3 Cu 0.000 0.526 0.999
4 Cu 0.000 0.999 0.526
5 Cu 0.243 0.266 0.760
6 Cu 0.243 0.760 0.266
7 Cu 0.246 0.754 0.754
8 Cu 0.500 0.001 0.509
9 Cu 0.500 0.509 0.001
10 Cu 0.500 0.519 0.519
11 Cu 0.754 0.754 0.754
12 Cu 0.757 0.266 0.760
13 Cu 0.757 0.760 0.266
14 Au 0.240 0.268 0.268
15 Au 0.500 0.996 0.996
16 Au 0.760 0.268 0.268

[8]
Cu4Au: calculated XRD peak list (Cu Kα X-rays), based on the PBE geometry in Alexandria.
Kinematic intensities with the Lorentz-polarization factor, no thermal factor.

The 10 most intense peaks (2θ from 10° to 80°), in order of rising 2θ:
| 2θ/deg | I/Imax |
| --- | --- |
| 13.0 | 39 |
| 25.7 | 27 |
| 31.7 | 24 |
| 33.8 | 14 |
| 38.7 | 14 |
| 41.5 | 98 |
| 41.8 | 100 |
| 47.3 | 67 |
| 50.9 | 28 |
| 72.0 | 36 |

Cell and atoms:
a b c (Å): 7.190 7.190 7.190
angles (deg): 158.31 151.09 36.44
Positions (direct):
1 Cu 0.112 0.112 0.000
2 Cu 0.297 0.297 0.000
3 Cu 0.703 0.703 0.000
4 Cu 0.888 0.888 0.000
5 Au 0.500 0.500 0.000